[1]
# Li3PdF6
Calculated XRD peak list, copper Kα. Input: a crystal structure in the Materials Project, relaxed with GGA-PBE.
Lines closer than 0.1° are merged.

Atomic structure:
```
Li3PdF6
1.0
0.0000 3.9797 3.9797
3.9797 0.0000 3.9797
3.9797 3.9797 0.0000
Li Pd F
3 1 6
direct
0.0000 0.0000 0.0000 Li
0.2500 0.2500 0.2500 Li
0.7500 0.7500 0.7500 Li
0.5000 0.5000 0.5000 Pd
0.2454 0.2454 0.7546 F
0.2454 0.7546 0.2454 F
0.2454 0.7546 0.7546 F
0.7546 0.2454 0.2454 F
0.7546 0.2454 0.7546 F
0.7546 0.7546 0.2454 F
```

Peak list (10 most intense, 10 to 90 degrees two-theta, low angle first)
19.32°, d = 4.595 Å, I 89
22.34°, d = 3.980 Å, I 100
31.80°, d = 2.814 Å, I 27
37.48°, d = 2.400 Å, I 53
45.59°, d = 1.990 Å, I 38
49.95°, d = 1.826 Å, I 25
51.34°, d = 1.780 Å, I 37
60.43°, d = 1.532 Å, I 16
66.45°, d = 1.407 Å, I 21
71.06°, d = 1.327 Å, I 16


[2]
# Rb2SbAuS4
Calculated XRD peak list, copper Kα. Input: a crystal structure in the Materials Project, relaxed with GGA-PBE.
Lines closer than 0.1° are merged.

Atomic structure:
```
Rb2SbAuS4
1.0
7.0309 0.0000 0.0000
0.0000 20.5156 0.0000
0.0000 0.0000 7.4009
Rb Sb Au S
8 4 4 16
direct
0.0997 0.1709 0.2500 Rb
0.0997 0.3291 0.7500 Rb
0.2959 0.0121 0.7500 Rb
0.2959 0.4879 0.2500 Rb
0.7041 0.5121 0.7500 Rb
0.7041 0.9879 0.2500 Rb
0.9003 0.6709 0.2500 Rb
0.9003 0.8291 0.7500 Rb
0.2079 0.6110 0.7500 Sb
0.2079 0.8890 0.2500 Sb
0.7921 0.1110 0.7500 Sb
0.7921 0.3890 0.2500 Sb
0.3903 0.7500 0.0000 Au
0.3903 0.7500 0.5000 Au
0.6097 0.2500 0.0000 Au
0.6097 0.2500 0.5000 Au
0.0898 0.1609 0.7500 S
0.0898 0.3391 0.2500 S
0.2019 0.0031 0.2500 S
0.2019 0.4969 0.7500 S
0.3888 0.6375 0.0168 S
0.3888 0.6375 0.4832 S
0.3888 0.8625 0.5168 S
0.3888 0.8625 0.9832 S
0.6112 0.1375 0.0168 S
0.6112 0.1375 0.4832 S
0.6112 0.3625 0.5168 S
0.6112 0.3625 0.9832 S
0.7981 0.5031 0.2500 S
0.7981 0.9969 0.7500 S
0.9102 0.6609 0.7500 S
0.9102 0.8391 0.2500 S
```

Peak list (10 most intense, 10 to 90 degrees two-theta, low angle first)
13.31°, d = 6.651 Å, I 100
21.44°, d = 4.144 Å, I 44
21.75°, d = 4.087 Å, I 43
25.59°, d = 3.481 Å, I 66
25.71°, d = 3.465 Å, I 72
27.23°, d = 3.275 Å, I 70
28.59°, d = 3.122 Å, I 89
33.12°, d = 2.705 Å, I 55
35.75°, d = 2.511 Å, I 39
46.06°, d = 1.971 Å, I 48


[3]
# Mg14FeBi
Calculated XRD peak list, copper Kα. Input: a crystal structure in the Materials Project, relaxed with GGA-PBE.
Lines closer than 0.1° are merged.

Atomic structure:
```
Mg14FeBi
1.0
6.2916 0.0000 0.0000
-3.1458 5.4487 0.0000
0.0000 0.0000 10.4109
Mg Fe Bi
14 1 1
direct
0.0000 0.0000 0.2478 Mg
0.0000 0.0000 0.7522 Mg
0.0114 0.5057 0.2724 Mg
0.0114 0.5057 0.7276 Mg
0.3272 0.1636 0.5000 Mg
0.3352 0.1676 0.0000 Mg
0.4943 0.5057 0.2724 Mg
0.4943 0.5057 0.7276 Mg
0.4943 0.9886 0.2724 Mg
0.4943 0.9886 0.7276 Mg
0.8324 0.1676 0.0000 Mg
0.8324 0.6648 0.0000 Mg
0.8364 0.1636 0.5000 Mg
0.8364 0.6728 0.5000 Mg
0.3333 0.6667 0.5000 Fe
0.3333 0.6667 0.0000 Bi
```

Peak list (10 most intense, 10 to 90 degrees two-theta, low angle first)
16.27°, d = 5.449 Å, I 60
18.38°, d = 4.828 Å, I 37
23.64°, d = 3.764 Å, I 46
32.88°, d = 2.724 Å, I 31
33.28°, d = 2.692 Å, I 20
34.46°, d = 2.603 Å, I 25
37.25°, d = 2.414 Å, I 100
48.36°, d = 1.882 Å, I 21
63.57°, d = 1.464 Å, I 21
69.88°, d = 1.346 Å, I 19


[4]
# SrCaTbBiO6
Calculated XRD peak list, copper Kα. Input: a crystal structure in the Materials Project, relaxed with GGA-PBE.
Lines closer than 0.1° are merged.

Atomic structure:
```
SrCaTbBiO6
1.0
0.0000 4.2930 4.2930
4.2930 0.0000 4.2930
4.2930 4.2930 0.0000
Sr Ca Tb Bi O
1 1 1 1 6
direct
0.0000 0.0000 0.0000 Sr
0.5000 0.5000 0.5000 Ca
0.2500 0.2500 0.2500 Tb
0.7500 0.7500 0.7500 Bi
0.5061 0.5061 0.9939 O
0.5061 0.9939 0.5061 O
0.5061 0.9939 0.9939 O
0.9939 0.5061 0.5061 O
0.9939 0.5061 0.9939 O
0.9939 0.9939 0.5061 O
```

Peak list (10 most intense, 10 to 90 degrees two-theta, low angle first)
20.69°, d = 4.293 Å, I 39
29.42°, d = 3.036 Å, I 100
42.10°, d = 2.146 Å, I 31
47.35°, d = 1.920 Å, I 18
52.19°, d = 1.753 Å, I 42
61.05°, d = 1.518 Å, I 20
65.19°, d = 1.431 Å, I 9
69.20°, d = 1.358 Å, I 18
76.94°, d = 1.239 Å, I 7
84.43°, d = 1.147 Å, I 22


[5]
# SrO10
Calculated XRD peak list, copper Kα. Input: a crystal structure in the Materials Project, relaxed with GGA-PBE.
Lines closer than 0.1° are merged.

Atomic structure:
```
SrO10
1.0
6.8827 0.0000 0.0000
0.0000 6.8827 0.0000
0.0000 0.0000 11.7828
Sr O
4 40
direct
0.2500 0.7500 0.2500 Sr
0.2500 0.7500 0.7500 Sr
0.7500 0.2500 0.2500 Sr
0.7500 0.2500 0.7500 Sr
0.0034 0.5892 0.1038 O
0.0034 0.9108 0.6038 O
0.0051 0.5967 0.8997 O
0.0051 0.9033 0.3997 O
0.0892 0.5034 0.3962 O
0.0892 0.9966 0.8962 O
0.0967 0.5051 0.6003 O
0.0967 0.9949 0.1003 O
0.2500 0.2500 0.1187 O
0.2500 0.2500 0.3666 O
0.2500 0.2500 0.6187 O
0.2500 0.2500 0.8666 O
0.4033 0.5051 0.1003 O
0.4033 0.9949 0.6003 O
0.4108 0.5034 0.8962 O
0.4108 0.9966 0.3962 O
0.4949 0.5967 0.3997 O
0.4949 0.9033 0.8997 O
0.4966 0.5892 0.6038 O
0.4966 0.9108 0.1038 O
0.5034 0.0892 0.8962 O
0.5034 0.4108 0.3962 O
0.5051 0.0967 0.1003 O
0.5051 0.4033 0.6003 O
0.5892 0.0034 0.6038 O
0.5892 0.4966 0.1038 O
0.5967 0.0051 0.3997 O
0.5967 0.4949 0.8997 O
0.7500 0.7500 0.1334 O
0.7500 0.7500 0.3813 O
0.7500 0.7500 0.6334 O
0.7500 0.7500 0.8813 O
0.9033 0.0051 0.8997 O
0.9033 0.4949 0.3997 O
0.9108 0.0034 0.1038 O
0.9108 0.4966 0.6038 O
0.9949 0.0967 0.6003 O
0.9949 0.4033 0.1003 O
0.9966 0.0892 0.3962 O
0.9966 0.4108 0.8962 O
```

Peak list (10 most intense, 10 to 90 degrees two-theta, low angle first)
15.04°, d = 5.891 Å, I 21
18.23°, d = 4.867 Å, I 35
23.71°, d = 3.752 Å, I 100
30.07°, d = 2.972 Å, I 97
35.63°, d = 2.520 Å, I 65
36.94°, d = 2.433 Å, I 62
40.09°, d = 2.249 Å, I 18
40.30°, d = 2.238 Å, I 56
44.37°, d = 2.042 Å, I 39
52.26°, d = 1.750 Å, I 43